# Na2VO3
Computed X-ray powder pattern, CuKα. Input: a cell relaxed with PBE+U.
Peak positions follow from Bragg's law for the DFT cell and can differ from measured ones.

Atomic structure:
a b c (Å): 5.5051 5.5058 9.6730
angles (deg): 101.10 101.18 108.71
Sites, in units of the cell vectors:
Na1 0.0000 0.0000 0.0000
Na2 0.0684 0.5721 0.1422
Na3 0.1655 0.1665 0.3324
Na4 0.2348 0.7381 0.4749
Na5 0.3209 0.3199 0.6430
Na6 0.4875 0.4880 0.9750
Na7 0.7484 0.2498 0.4982
Na8 0.9146 0.4146 0.8313
V1 0.4037 0.9052 0.8157
V2 0.5806 0.0825 0.1584
V3 0.6558 0.6607 0.3162
V4 0.8254 0.8265 0.6579
O1 0.0875 0.6343 0.6773
O2 0.1469 0.1000 0.7961
O3 0.3010 0.8006 0.9850
O4 0.3842 0.3400 0.1778
O5 0.4424 0.8986 0.2950
O6 0.5493 0.5514 0.4878
O7 0.5871 0.0414 0.6786
O8 0.6484 0.6939 0.7967
O9 0.6862 0.1863 0.9888
O10 0.7914 0.8390 0.1783
O11 0.8506 0.3983 0.2967
O12 0.9317 0.9344 0.4867

The 10 most intense peaks (10° ≤ 2θ ≤ 80°), in order of rising 2θ:
2θ = 17.69°, d 5.014, rel. 60, (1 0 0); 2θ = 34.40°, d 2.607, rel. 28, (2 0 -1); 2θ = 35.69°, d 2.516, rel. 22, (-1 1 3); 2θ = 40.32°, d 2.237, rel. 56, (2 -2 0); 2θ = 40.88°, d 2.207, rel. 100, (1 1 2); 2θ = 57.45°, d 1.604, rel. 14, (2 2 -2); 2θ = 58.77°, d 1.571, rel. 55, (3 -1 2); 2θ = 60.91°, d 1.521, rel. 11, (0 0 6); 2θ = 69.50°, d 1.352, rel. 16, (3 1 -5); 2θ = 72.51°, d 1.304, rel. 11, (4 0 -2)